This entry pairs a crystal structure of K3Rb4MgH8 with its calculated powder diffraction line list. Radiation: copper Kα. Structure: a cell relaxed with PBE.

a b c (Å): 8.0210 8.0210 8.0210
angles (deg): 59.38 59.38 59.38
Element x y z (fractional)
1 K 0.0000 0.5000 0.5000
2 K 0.5000 0.0000 0.5000
3 K 0.5000 0.5000 0.0000
4 Rb 0.0000 0.0000 0.5000
5 Rb 0.0000 0.5000 0.0000
6 Rb 0.5000 0.0000 0.0000
7 Rb 0.5000 0.5000 0.5000
8 Mg 0.0000 0.0000 0.0000
9 H 0.1908 0.1908 0.8041
10 H 0.1908 0.8041 0.1908
11 H 0.1959 0.8092 0.8092
12 H 0.2565 0.2565 0.2565
13 H 0.7435 0.7435 0.7435
14 H 0.8041 0.1908 0.1908
15 H 0.8092 0.1959 0.8092
16 H 0.8092 0.8092 0.1959

Peak list (6 most intense, 2θ = 10–90°, in order of rising 2θ)
| Position (°2θ) | I (rel.) |
| --- | --- |
| 13.46 | 26 |
| 27.10 | 35 |
| 27.45 | 100 |
| 31.70 | 74 |
| 45.22 | 26 |
| 53.92 | 29 |


This entry pairs a crystal structure of LaPmPr2Tl2 with its calculated powder diffraction line list. Radiation: copper Kα. Structure: a cell relaxed with PBE.

a b c (Å): 5.4181 10.2336 6.9738
angles (deg): 90.00 90.00 90.00
Element x y z (fractional)
1 La 0.0000 0.0403 0.0000
2 La 0.0000 0.9597 0.5000
3 Pm 0.5000 0.1789 0.7259
4 Pm 0.5000 0.8211 0.2259
5 Pr 0.0000 0.3245 0.3343
6 Pr 0.0000 0.6755 0.8343
7 Pr 0.5000 0.4590 0.0570
8 Pr 0.5000 0.5410 0.5570
9 Tl 0.0000 0.3527 0.8083
10 Tl 0.0000 0.6473 0.3083
11 Tl 0.5000 0.1432 0.2534
12 Tl 0.5000 0.8568 0.7534

Peak list (6 most intense, 2θ = 10–90°, in order of rising 2θ)
| Position (°2θ) | I (rel.) |
| --- | --- |
| 30.49 | 19 |
| 30.99 | 100 |
| 31.75 | 68 |
| 33.07 | 42 |
| 45.99 | 16 |
| 58.23 | 17 |


This entry pairs a crystal structure of Rb2ScPt2 with its calculated powder diffraction line list. Radiation: copper Kα. Structure: a cell relaxed with PBE.

a b c (Å): 6.9624 6.9624 5.8683
angles (deg): 90.00 90.00 90.00
Element x y z (fractional)
1 Rb 0.1716 0.3284 0.0000
2 Rb 0.3284 0.8284 0.0000
3 Rb 0.6716 0.1716 0.0000
4 Rb 0.8284 0.6716 0.0000
5 Sc 0.0000 0.0000 0.5000
6 Sc 0.5000 0.5000 0.5000
7 Pt 0.1337 0.6337 0.5000
8 Pt 0.3663 0.1337 0.5000
9 Pt 0.6337 0.8663 0.5000
10 Pt 0.8663 0.3663 0.5000

Peak list (6 most intense, 2θ = 10–90°, in order of rising 2θ)
| Position (°2θ) | I (rel.) |
| --- | --- |
| 15.10 | 30 |
| 30.47 | 32 |
| 32.55 | 100 |
| 40.99 | 18 |
| 51.92 | 18 |
| 55.48 | 22 |


This entry pairs a crystal structure of Cs2SnBBr6 with its calculated powder diffraction line list. Radiation: copper Kα. Structure: a cell relaxed with PBE.

a b c (Å): 7.6826 7.6826 7.6826
angles (deg): 117.27 117.27 94.79
Element x y z (fractional)
1 Cs 0.2500 0.7500 0.5000
2 Cs 0.7500 0.2500 0.5000
3 Sn 0.0000 0.0000 0.0000
4 B 0.5000 0.5000 0.0000
5 Br 0.2589 0.2589 0.5177
6 Br 0.2589 0.7411 0.0000
7 Br 0.2858 0.2858 0.0000
8 Br 0.7142 0.7142 0.0000
9 Br 0.7411 0.2589 0.0000
10 Br 0.7411 0.7411 0.4823

Peak list (6 most intense, 2θ = 10–90°, in order of rising 2θ)
| Position (°2θ) | I (rel.) |
| --- | --- |
| 28.15 | 100 |
| 31.65 | 77 |
| 34.49 | 27 |
| 45.36 | 28 |
| 47.51 | 42 |
| 54.24 | 33 |